Theoretical powder diffractogram of LiMn3CrO8 for λ = 1.5418 Å (Cu Kα), from a GGA+U-relaxed structure.
Neutral-atom scattering factors, no anomalous dispersion.

Top 10 peaks for 2θ from 15° to 90°, low angle first:
Position (°2θ), d/Å, intensity
18.2, 4.866, 43
18.6, 4.781, 100
35.5, 2.529, 13
35.9, 2.505, 28
36.0, 2.493, 14
37.6, 2.391, 10
43.5, 2.079, 73
57.6, 1.600, 11
62.8, 1.480, 20
63.7, 1.461, 20

Unit cell a=5.8429 b=5.8429 c=14.5988 alpha=90.00 beta=90.00 gamma=120.00
Space group R3m (No. 160, hexagonal axes)
Unique sites:
Li: 0.0000 0.0000 0.0000
Mn: 0.1679 0.3357 0.2115
Cr: 0.0000 0.0000 0.3794
O: 0.0000 0.0000 0.1421
O: 0.0000 0.0000 0.6131
O: 0.0370 0.5185 0.1377
O: 0.1837 0.3674 0.9543